Record 1
Diffraction record for SmGd2In3Cu3. The XRD peak list is calculated, not measured: it uses a cell relaxed with GGA-PBE and a wavelength of 1.5418 Å.
Peak positions follow from Bragg's law for the DFT cell and can differ from measured ones.

Crystal structure
```
9
Lattice="4.0213 0.0000 0.0000 0.0000 6.4807 3.7473 0.0000 -6.4807 3.7473" Properties=species:S:1:pos:R:3 pbc="T T T"
Sm 0.0000 0.0000 0.0000
Gd 0.0000 -2.6754 4.6427
Gd 0.0000 2.6754 4.6427
In 2.0106 -1.6417 2.1627
In 2.0106 1.6417 2.1627
In 2.0106 0.0000 4.9779
Cu 0.0000 0.0000 3.1094
Cu 2.0106 -4.3053 3.0965
Cu 2.0106 4.3053 3.0965
```

Peak list (10 most intense, 10° ≤ 2θ ≤ 90°, in order of falling intensity)
2θ = 32.7°, intensity 100
2θ = 35.6°, intensity 79
2θ = 36.7°, intensity 53
2θ = 59.5°, intensity 26
2θ = 67.1°, intensity 24
2θ = 45.1°, intensity 23
2θ = 56.0°, intensity 23
2θ = 41.8°, intensity 22
2θ = 50.8°, intensity 13
2θ = 43.2°, intensity 12



Record 2
Diffraction record for TbGdInCu2. The XRD peak list is calculated, not measured: it uses a cell relaxed with GGA-PBE and a wavelength of 1.5418 Å.
Peak positions follow from Bragg's law for the DFT cell and can differ from measured ones.

Crystal structure
```
5
Lattice="3.6180 0.0000 0.0000 0.0000 2.1450 7.0192 0.0000 -2.1450 7.0192" Properties=species:S:1:pos:R:3 pbc="T T T"
Tb 0.0000 0.0000 0.0000
Gd 0.0000 0.0000 10.2959
In 1.8090 0.0000 5.1515
Cu 1.8090 0.0000 2.3090
Cu 1.8090 0.0000 7.9711
```

Peak list (10 most intense, 10° ≤ 2θ ≤ 90°, in order of falling intensity)
2θ = 33.0°, intensity 100
2θ = 35.6°, intensity 67
2θ = 38.3°, intensity 42
2θ = 28.2°, intensity 37
2θ = 56.3°, intensity 35
2θ = 37.8°, intensity 31
2θ = 42.1°, intensity 30
2θ = 50.4°, intensity 18
2θ = 65.1°, intensity 17
2θ = 67.8°, intensity 14